# NdHo5Al
Computed PXRD pattern, Cu Kα (weighted mean of Kα1 and Kα2). Input: a PBE-relaxed structure.
Peak positions follow from Bragg's law for the DFT cell and can differ from measured ones.

Crystal structure
abc: 7.741 11.337 6.132
angles: 90.00 90.00 90.00
Space group Imm2 (No. 44)
Inequivalent atoms, fractional coordinates:
Nd1 0.000 0.000 0.000 (multiplicity 2)
Ho1 0.000 0.257 0.385 (multiplicity 4)
Ho2 0.000 0.500 0.709 (multiplicity 2)
Ho3 0.190 0.000 0.511 (multiplicity 4)
Al1 0.000 0.500 0.244 (multiplicity 2)

Most intense lines, 2θ from 5° to 70°, by angle:
2θ/deg  Rel. int.  h k l
15.6  45  0 2 0
18.5  39  1 0 1
24.3  100  1 2 1
28.4  79  2 1 1
31.6  70  0 4 0
32.4  51  1 1 2
33.2  34  0 2 2
36.3  37  2 3 1
41.2  73  3 2 1
62.8  37  0 2 4